# La2PrCoC2
Theoretical X-ray powder pattern, Cu Ka. Input: a cell relaxed with PBE.
Kinematic intensities with the Lorentz-polarization factor, no thermal factor.

The 8 most intense peaks (2θ from 10° to 90°), low angle first:
two_theta, I (rel.), hkl
24.24, 11, 0 1 1
27.98, 34, 1 3 0
30.95, 30, 2 0 0
31.88, 100, 1 2 1
45.97, 14, 0 5 1
46.89, 11, 0 0 2
55.65, 20, 3 2 1
56.46, 12, 2 5 1

Cell and atoms:
```
12
Lattice="5.7777 0.0000 0.0000 0.0000 11.4701 0.0000 0.0000 0.0000 3.8756" Properties=species:S:1:pos:R:3 pbc="T T T"
La 0.0661 2.3056 0.0000
La 2.8228 8.0406 1.9378
La 2.9549 3.4294 1.9378
La 5.7117 9.1645 0.0000
Pr 0.0000 5.7350 1.9378
Pr 2.8889 0.0000 0.0000
Co 0.0000 0.0000 1.9378
Co 2.8889 5.7350 0.0000
C 1.3861 1.2337 1.9378
C 1.5027 6.9687 0.0000
C 4.2750 4.5013 0.0000
C 4.3916 10.2364 1.9378
```

***

# Nd2Al3CuPt4
Theoretical X-ray powder pattern, Cu Ka. Input: a cell relaxed with PBE.
Kinematic intensities with the Lorentz-polarization factor, no thermal factor.

The 8 most intense peaks (2θ from 10° to 90°), low angle first:
two_theta, I (rel.), hkl
25.84, 26, 0 0 3
26.98, 28, 1 0 2
30.66, 50, 1 1 1
33.32, 47, 1 0 3
34.22, 100, 1 1 2
42.05, 62, 2 0 0
46.09, 25, 1 1 4
48.87, 25, 1 0 5

Cell and atoms:
```
10
Lattice="4.2976 0.0000 0.0000 0.0000 4.2976 0.0000 0.0000 0.0000 10.3424" Properties=species:S:1:pos:R:3 pbc="T T T"
Nd 0.0000 2.1488 2.5577
Nd 2.1488 0.0000 7.7847
Al 0.0000 0.0000 0.0000
Al 0.0000 2.1488 6.4668
Al 2.1488 0.0000 3.8756
Cu 2.1488 2.1488 0.0000
Pt 0.0000 0.0000 5.1712
Pt 0.0000 2.1488 8.9411
Pt 2.1488 0.0000 1.4013
Pt 2.1488 2.1488 5.1712
```

***

# TiNb2Te4S2
Theoretical X-ray powder pattern, Cu Ka. Input: a cell relaxed with PBE.
Kinematic intensities with the Lorentz-polarization factor, no thermal factor.

The 8 most intense peaks (2θ from 10° to 90°), low angle first:
two_theta, I (rel.), hkl
12.13, 47, 0 0 3
29.02, 57, 1 0 0
29.32, 27, 1 0 1
33.41, 65, 1 0 4
35.67, 100, 0 1 5
41.17, 45, 1 0 7
44.31, 20, 1 0 8
51.44, 44, 1 1 0

Cell and atoms:
```
9
Lattice="3.5525 0.0000 0.0000 -1.7763 3.0766 0.0000 0.0000 0.0000 21.8827" Properties=species:S:1:pos:R:3 pbc="T T T"
Ti 0.0000 0.0000 0.0000
Nb 0.0000 0.0000 14.2970
Nb 1.7763 1.0255 6.8413
Te 0.0000 0.0000 4.9246
Te 0.0000 0.0000 8.7515
Te 1.7763 1.0255 12.3898
Te 1.7763 1.0255 16.2191
S 1.7763 1.0255 1.4707
S 1.7763 1.0255 20.4338
```

***

# CeZnFeGe2
Theoretical X-ray powder pattern, Cu Ka. Input: a cell relaxed with PBE.
Kinematic intensities with the Lorentz-polarization factor, no thermal factor.

The 8 most intense peaks (2θ from 10° to 90°), low angle first:
two_theta, I (rel.), hkl
27.38, 14, 1 1 1
31.06, 21, 0 0 2
32.50, 33, 2 0 0
34.95, 25, 0 1 2
39.02, 100, 1 2 1
39.59, 13, 2 1 1
45.57, 33, 2 0 2
62.37, 25, 3 2 1

Cell and atoms:
```
10
Lattice="5.5107 0.0000 0.0000 0.0000 5.6665 0.0000 0.0000 0.0000 5.7589" Properties=species:S:1:pos:R:3 pbc="T T T"
Ce 1.3777 0.0000 1.3361
Ce 4.1330 0.0000 4.4227
Zn 1.3777 2.8333 2.1726
Zn 4.1330 2.8333 3.5863
Fe 0.0000 2.8333 0.0000
Fe 2.7553 2.8333 0.0000
Ge 1.3777 1.3604 4.3034
Ge 1.3777 4.3061 4.3034
Ge 4.1330 1.3604 1.4555
Ge 4.1330 4.3061 1.4555
```